The following is a theoretical X-ray diffraction stick pattern of TbTh3H8. It was derived from a DFT-relaxed cell (PBE, Alexandria), using Cu Kα X-rays.
Kinematic intensities with the Lorentz-polarization factor, no thermal factor.

Atomic structure:
a = 5.401 Å, b = 5.401 Å, c = 5.401 Å
α = 90.00°, β = 90.00°, γ = 90.00°
Fractional positions:
Tb1 0.000 0.000 0.000
Th1 0.000 0.500 0.500
Th2 0.500 0.000 0.500
Th3 0.500 0.500 0.000
H1 0.244 0.244 0.244
H2 0.244 0.244 0.756
H3 0.244 0.756 0.244
H4 0.244 0.756 0.756
H5 0.756 0.244 0.244
H6 0.756 0.244 0.756
H7 0.756 0.756 0.244
H8 0.756 0.756 0.756

Peak list (12 most intense, 2θ = 10–90°, low angle first)
- 16.4°, 5.401 Å, I 2
- 23.3°, 3.819 Å, I 1
- 28.6°, 3.119 Å, I 100
- 33.2°, 2.701 Å, I 50
- 37.2°, 2.416 Å, I 1
- 47.6°, 1.910 Å, I 39
- 56.5°, 1.629 Å, I 46
- 59.3°, 1.559 Å, I 13
- 69.6°, 1.350 Å, I 6
- 76.9°, 1.239 Å, I 19
- 79.3°, 1.208 Å, I 18
- 88.7°, 1.103 Å, I 14